Diffraction record for AcAgSeS. The X-ray powder pattern is simulated, not measured: it uses DFT lattice parameters and positions (PBE) and Cu Kα X-rays.
No peak broadening, texture or thermal motion is included.

Crystal structure
```
data_AcAgSeS
_chemical_formula_sum 'Ac6 Ag6 Se6 S6'
_symmetry_space_group_name_H-M 'R -3 m'
_symmetry_Int_Tables_number 166
_symmetry_space_group_name_Hall '-R 3 2"'
_cell_length_a 4.7317
_cell_length_b 4.7317
_cell_length_c 34.1551
_cell_angle_alpha 90.00
_cell_angle_beta 90.00
_cell_angle_gamma 120.00
loop_
_atom_site_label
_atom_site_type_symbol
_atom_site_fract_x
_atom_site_fract_y
_atom_site_fract_z
Ac1 Ac 0.0000 0.0000 0.1086
Ag1 Ag 0.0000 0.0000 0.3049
Se1 Se 0.0000 0.0000 0.3858
S1 S 0.0000 0.0000 0.1976
```

Peak list (10 most intense, 10° ≤ 2θ ≤ 80°, in order of falling intensity)
2theta  Rel. int.
24.09  100
38.03  99
34.18  96
25.35  67
43.15  30
52.05  29
66.26  27
50.14  20
45.53  19
68.72  17